This entry pairs a crystal structure of H2Pd4I with its simulated powder X-ray diffraction pattern. Radiation: Cu Kα, 1.54184 Å. Structure: a cell relaxed with PBE.
Peak positions follow from Bragg's law for the DFT cell and can differ from measured ones.

Main lines, in order of rising 2θ (2θ from 10° to 90°):
d [Å]	2θ (°)	I (rel.)	(hkl)
2.602	34.47	462	-1 1 2
2.594	34.58	296	1 1 1
2.580	34.77	331	2 0 -1
2.488	36.10	1000	0 2 -2
2.350	38.30	767	-1 2 1
2.338	38.50	628	2 -1 0
2.305	39.09	796	1 0 2
2.296	39.24	718	1 2 0
2.264	39.81	630	1 0 -3
2.245	40.16	729	2 1 -2

Structural model:
```
H2Pd4I
1.0
5.1660 0.0000 0.0000
-0.2623 5.8760 0.0000
-2.3569 -1.8763 6.3681
H Pd I
4 8 2
Cartesian
0.0000 0.0000 0.0000 H
-0.9928 4.7167 2.6224 H
-1.1190 0.2517 4.6133 H
1.3506 4.5527 1.4709 H
-1.8326 2.6626 5.4823 Pd
-0.1684 3.3096 1.6837 Pd
0.7920 0.2604 1.6525 Pd
0.0197 -1.1040 4.2611 Pd
3.0822 5.2592 0.3786 Pd
2.3916 4.2466 2.9646 Pd
2.5948 -0.2462 5.5297 Pd
3.6006 1.0346 3.0607 Pd
0.9645 2.2642 4.1222 I
2.7696 2.0425 0.7207 I
```